Record 1
Starting from the PBE geometry in Alexandria, the X-ray powder pattern of Pm5Ge4H was computed for Cu Kα.

Most intense lines, 5° ≤ 2θ ≤ 70°, sorted by position:
2theta	I/Imax
25.99	52
29.91	50
30.20	100
43.02	75
43.23	37
51.14	16
53.46	39
62.79	12

abc: 9.359 9.359 5.975
angles: 90.00 90.00 90.00
Space group I4 (No. 79)
Asymmetric unit:
1 Pm 0.000 0.000 0.000 [2 per cell]
2 Pm 0.097 0.704 0.532 [8 per cell]
3 Ge 0.099 0.703 0.034 [8 per cell]
4 H 0.000 0.000 0.583 [2 per cell]

***

Record 2
Starting from the PBE geometry in Alexandria, the X-ray powder pattern of Tb6Sm3Ho2Mg was computed for Cu Kα.

Most intense lines, 5° ≤ 2θ ≤ 70°, sorted by position:
2theta	I/Imax
30.81	100
31.00	32
35.78	67
51.37	24
51.63	23
61.19	23
61.45	14
64.18	12

abc: 6.160 10.676 11.721
angles: 90.00 100.15 90.00
Space group C2/m (No. 12)
Asymmetric unit:
1 Tb 0.248 0.166 0.246 [8 per cell]
2 Tb 0.249 0.500 0.247 [4 per cell]
3 Sm 0.000 0.166 0.500 [4 per cell]
4 Sm 0.000 0.500 0.500 [2 per cell]
5 Ho 0.000 0.334 0.000 [4 per cell]
6 Mg 0.000 0.000 0.000 [2 per cell]

***

Record 3
Starting from the PBE geometry in Alexandria, the X-ray powder pattern of Li4CaAc2Sn3 was computed for Cu Kα.

Most intense lines, 5° ≤ 2θ ≤ 70°, sorted by position:
2theta	I/Imax
20.17	52
23.10	44
26.46	54
27.59	58
29.84	89
30.73	100
37.77	61
48.86	47

abc: 4.763 4.763 11.550
angles: 90.00 90.00 90.00
Space group P-4m2 (No. 115)
Asymmetric unit:
1 Li 0.000 0.000 0.000 [1 per cell]
2 Li 0.000 0.500 0.357 [2 per cell]
3 Li 0.500 0.500 0.000 [1 per cell]
4 Ca 0.500 0.500 0.500 [1 per cell]
5 Ac 0.000 0.500 0.779 [2 per cell]
6 Sn 0.000 0.000 0.500 [1 per cell]
7 Sn 0.000 0.500 0.129 [2 per cell]

***

Record 4
Starting from the PBE geometry in Alexandria, the X-ray powder pattern of Li4Pa3FeSe8 was computed for Cu Kα.

Most intense lines, 5° ≤ 2θ ≤ 70°, sorted by position:
2theta	I/Imax
13.33	62
26.62	43
31.88	100
34.70	24
45.14	38
46.29	35
48.38	16
57.30	19

abc: 7.8461 7.8461 19.9254
angles: 90.00 90.00 120.00
Space group R-3m (No. 166, hexagonal axes)
Asymmetric unit:
1 Li 0.0000 0.0000 0.0000 [3 per cell]
2 Li 0.0000 0.5000 0.0000 [9 per cell]
3 Pa 0.0000 0.5000 0.5000 [9 per cell]
4 Fe 0.0000 0.0000 0.5000 [3 per cell]
5 Se 0.0000 0.0000 0.2569 [6 per cell]
6 Se 0.0145 0.5073 0.2507 [18 per cell]

***

Record 5
Starting from the PBE geometry in Alexandria, the X-ray powder pattern of TmPu3 was computed for Cu Kα.

Most intense lines, 5° ≤ 2θ ≤ 70°, sorted by position:
2theta	I/Imax
32.14	29
32.42	26
33.76	100
46.30	20
58.34	22
58.69	18
61.22	10
61.39	9

abc: 3.608 11.046 5.570
angles: 90.00 90.00 90.00
Space group Imm2 (No. 44)
Asymmetric unit:
1 Tm 0.000 0.000 0.000 [2 per cell]
2 Pu 0.000 0.235 0.507 [4 per cell]
3 Pu 0.000 0.500 0.999 [2 per cell]